1.
# DyCuGe
Computed powder XRD pattern, Cu Kα. Input: a structure optimized by DFT (PBE).
Neutral-atom scattering factors, no anomalous dispersion.

Main lines, by angle (2θ from 10° to 80°):
d [Å], two_theta, intensity
3.734, 23.83, 18
2.633, 34.05, 100
2.156, 41.91, 50
1.857, 49.07, 9
1.668, 55.06, 25
1.407, 66.46, 20
1.319, 71.52, 23
1.245, 76.54, 8

Cell and atoms:
```
data_DyCuGe
_space_group_name_H-M_alt 'P -3 m 1'
_space_group_IT_number 164
_space_group_name_Hall '-P 3 2"'
_cell_length_a 4.3116
_cell_length_b 4.3116
_cell_length_c 7.4263
_cell_angle_alpha 90.00
_cell_angle_beta 90.00
_cell_angle_gamma 120.00
loop_
_atom_site_label
_atom_site_type_symbol
_atom_site_fract_x
_atom_site_fract_y
_atom_site_fract_z
_atom_site_occupancy
Dy1 Dy 0.0000 0.0000 0.2380 1
Cu1 Cu 0.3333 0.6667 0.9935 1
Ge1 Ge 0.3333 0.6667 0.5298 1
```

2.
# TaTiCo
Computed powder XRD pattern, Cu Kα. Input: a structure optimized by DFT (PBE).
Neutral-atom scattering factors, no anomalous dispersion.

Main lines, by angle (2θ from 10° to 80°):
d [Å], two_theta, intensity
3.983, 22.32, 22
2.957, 30.22, 20
2.558, 35.08, 31
2.543, 35.30, 67
2.275, 39.62, 100
2.152, 41.97, 45
2.143, 42.17, 80
2.130, 42.43, 35

Cell and atoms:
```
data_TaTiCo
_space_group_name_H-M_alt 'A m m 2'
_space_group_IT_number 38
_cell_length_a 7.965
_cell_length_b 5.117
_cell_length_c 8.790
_cell_angle_alpha 90.00
_cell_angle_beta 90.00
_cell_angle_gamma 90.00
loop_
_space_group_symop_operation_xyz
'x,y,z'
'-x,-y,z'
'-x,y,z'
'x,-y,z'
'x,y+1/2,z+1/2'
'-x,-y+1/2,z+1/2'
'-x,y+1/2,z+1/2'
'x,-y+1/2,z+1/2'
loop_
_atom_site_label
_atom_site_type_symbol
_atom_site_fract_x
_atom_site_fract_y
_atom_site_fract_z
_atom_site_occupancy
Ta1 Ta 0.182 0.000 0.000 1
Ta2 Ta 0.294 0.000 0.332 1
Ti1 Ti 0.000 0.000 0.530 1
Ti2 Ti 0.500 0.000 0.845 1
Ti3 Ti 0.500 0.248 0.587 1
Co1 Co 0.000 0.242 0.279 1
Co2 Co 0.250 0.000 0.684 1
```

What did the first record say?
# DyCuGe
Computed powder XRD pattern, Cu Kα. Input: a structure optimized by DFT (PBE).
Neutral-atom scattering factors, no anomalous dispersion.

Main lines, by angle (2θ from 10° to 80°):
d [Å], two_theta, intensity
3.734, 23.83, 18
2.633, 34.05, 100
2.156, 41.91, 50
1.857, 49.07, 9
1.668, 55.06, 25
1.407, 66.46, 20
1.319, 71.52, 23
1.245, 76.54, 8

Cell and atoms:
```
data_DyCuGe
_space_group_name_H-M_alt 'P -3 m 1'
_space_group_IT_number 164
_space_group_name_Hall '-P 3 2"'
_cell_length_a 4.3116
_cell_length_b 4.3116
_cell_length_c 7.4263
_cell_angle_alpha 90.00
_cell_angle_beta 90.00
_cell_angle_gamma 120.00
loop_
_atom_site_label
_atom_site_type_symbol
_atom_site_fract_x
_atom_site_fract_y
_atom_site_fract_z
_atom_site_occupancy
Dy1 Dy 0.0000 0.0000 0.2380 1
Cu1 Cu 0.3333 0.6667 0.9935 1
Ge1 Ge 0.3333 0.6667 0.5298 1
```